[1]
For Rb3Pu2TlSe6, a structure optimized by DFT (GGA-PBE) gives the computed X-ray powder pattern in this record (a wavelength of 1.5418 Å).

Structural model:
Unit cell a=7.649 b=13.215 c=8.269 alpha=90.00 beta=107.98 gamma=90.00
Space group C2/m (No. 12)
Symmetry-distinct sites (fractional):
Rb 0.000 0.000 0.000 (multiplicity 2)
Rb 0.000 0.346 0.000 (multiplicity 4)
Pu 0.000 0.168 0.500 (multiplicity 4)
Tl 0.000 0.500 0.500 (multiplicity 2)
Se 0.195 0.000 0.693 (multiplicity 4)
Se 0.247 0.186 0.302 (multiplicity 8)

Largest 10 diffraction maxima, in order of rising 2θ, 2θ from 5° to 70°:
| d [Å] | I (rel.) | hkl |
| --- | --- | --- |
| 7.865 | 46 | 0 0 1 |
| 3.770 | 10 | 1 3 0 |
| 3.634 | 17 | 2 0 0 |
| 3.206 | 100 | 2 0 -2 |
| 2.527 | 17 | 2 0 -3 |
| 2.334 | 35 | 2 0 2 |
| 2.207 | 24 | 3 3 -1 |
| 2.202 | 12 | 0 6 0 |
| 2.123 | 11 | 0 6 1 |
| 1.817 | 18 | 4 0 0 |

=====

[2]
For Tb7DySc3, a structure optimized by DFT (GGA-PBE) gives the computed X-ray powder pattern in this record (a wavelength of 1.5418 Å).

Structural model:
Unit cell a=6.9651 b=6.9651 c=8.2515 alpha=90.00 beta=90.00 gamma=120.00
Space group P3m1 (No. 156)
Symmetry-distinct sites (fractional):
Tb 0.0000 0.0000 0.0000 (multiplicity 1)
Tb 0.1655 0.3310 0.6560 (multiplicity 3)
Tb 0.5011 0.0023 0.0138 (multiplicity 3)
Dy 0.6667 0.3333 0.6695 (multiplicity 1)
Sc 0.3337 0.1668 0.3351 (multiplicity 3)

Largest 10 diffraction maxima, in order of rising 2θ, 2θ from 5° to 70°:
| d [Å] | I (rel.) | hkl |
| --- | --- | --- |
| 8.251 | 33 | 0 0 1 |
| 4.126 | 14 | 0 0 2 |
| 3.016 | 13 | 2 0 0 |
| 2.833 | 100 | 2 0 1 |
| 2.750 | 26 | 0 0 3 |
| 2.435 | 60 | 0 2 2 |
| 1.741 | 21 | 2 2 0 |
| 1.703 | 27 | 2 0 4 |
| 1.483 | 14 | 0 4 1 |
| 1.471 | 23 | 2 2 3 |

=====

[3]
For BaCdSO, a structure optimized by DFT (GGA-PBE) gives the computed X-ray powder pattern in this record (a wavelength of 1.5418 Å).

Structural model:
Unit cell a=4.5611 b=4.5611 c=4.8956 alpha=90.00 beta=90.00 gamma=120.00
Space group P-6m2 (No. 187)
Symmetry-distinct sites (fractional):
Ba 0.0000 0.0000 0.0000 (multiplicity 1)
Cd 0.6667 0.3333 0.5000 (multiplicity 1)
S 0.3333 0.6667 0.5000 (multiplicity 1)
O 0.6667 0.3333 0.0000 (multiplicity 1)

Largest 10 diffraction maxima, in order of rising 2θ, 2θ from 5° to 70°:
| d [Å] | I (rel.) | hkl |
| --- | --- | --- |
| 3.950 | 21 | 1 0 0 |
| 3.074 | 100 | 1 0 1 |
| 2.448 | 18 | 0 0 2 |
| 2.281 | 45 | 1 1 0 |
| 2.081 | 8 | 1 0 2 |
| 1.975 | 3 | 2 0 0 |
| 1.832 | 22 | 2 0 1 |
| 1.669 | 33 | 1 1 2 |
| 1.508 | 12 | 1 0 3 |
| 1.428 | 20 | 2 1 1 |

=====

[4]
For DyPa2Rh5, a structure optimized by DFT (GGA-PBE) gives the computed X-ray powder pattern in this record (a wavelength of 1.5418 Å).

Structural model:
Unit cell a=5.902 b=11.663 c=4.335 alpha=90.00 beta=90.00 gamma=90.00
Space group Pbam (No. 55)
Symmetry-distinct sites (fractional):
Dy 0.000 0.000 0.000 (multiplicity 2)
Pa 0.156 0.353 0.500 (multiplicity 4)
Rh 0.000 0.500 0.000 (multiplicity 2)
Rh 0.089 0.749 0.000 (multiplicity 4)
Rh 0.199 0.116 0.500 (multiplicity 4)

Largest 10 diffraction maxima, in order of rising 2θ, 2θ from 5° to 70°:
| d [Å] | I (rel.) | hkl |
| --- | --- | --- |
| 3.247 | 12 | 1 3 0 |
| 2.440 | 44 | 2 0 1 |
| 2.419 | 100 | 0 4 1 |
| 2.388 | 63 | 2 1 1 |
| 2.351 | 16 | 2 3 0 |
| 2.168 | 42 | 0 0 2 |
| 2.074 | 25 | 2 4 0 |
| 1.830 | 17 | 2 5 0 |
| 1.499 | 18 | 2 4 2 |
| 1.398 | 17 | 2 5 2 |

=====

[5]
For Ca4CeS5, a structure optimized by DFT (GGA-PBE) gives the computed X-ray powder pattern in this record (a wavelength of 1.5418 Å).

Structural model:
Unit cell a=4.037 b=4.037 c=28.683 alpha=90.00 beta=90.00 gamma=90.00
Space group I4/mmm (No. 139)
Symmetry-distinct sites (fractional):
Ca 0.000 0.000 0.101 (multiplicity 4)
Ca 0.000 0.000 0.300 (multiplicity 4)
Ce 0.000 0.000 0.500 (multiplicity 2)
S 0.000 0.000 0.000 (multiplicity 2)
S 0.000 0.000 0.200 (multiplicity 4)
S 0.000 0.000 0.399 (multiplicity 4)

Largest 10 diffraction maxima, in order of rising 2θ, 2θ from 5° to 70°:
| d [Å] | I (rel.) | hkl |
| --- | --- | --- |
| 14.341 | 69 | 0 0 2 |
| 7.171 | 17 | 0 0 4 |
| 3.998 | 19 | 1 0 1 |
| 3.719 | 16 | 1 0 3 |
| 3.302 | 25 | 1 0 5 |
| 2.869 | 59 | 0 0 10 |
| 2.855 | 100 | 1 1 0 |
| 2.023 | 69 | 1 1 10 |
| 2.019 | 34 | 2 0 0 |
| 1.651 | 38 | 2 0 10 |

=====

[6]
For La2TbPmDy, a structure optimized by DFT (GGA-PBE) gives the computed X-ray powder pattern in this record (a wavelength of 1.5418 Å).

Structural model:
Unit cell a=6.493 b=7.918 c=6.790 alpha=90.00 beta=90.00 gamma=90.00
Space group Pmma (No. 51)
Symmetry-distinct sites (fractional):
La 0.250 0.202 0.207 (multiplicity 4)
Tb 0.250 0.000 0.679 (multiplicity 2)
Pm 0.250 0.500 0.911 (multiplicity 2)
Dy 0.000 0.500 0.500 (multiplicity 2)

Largest 10 diffraction maxima, in order of rising 2θ, 2θ from 5° to 70°:
| d [Å] | I (rel.) | hkl |
| --- | --- | --- |
| 3.247 | 27 | 2 0 0 |
| 3.120 | 44 | 0 1 2 |
| 3.026 | 100 | 1 2 1 |
| 3.005 | 21 | 2 1 0 |
| 2.929 | 20 | 2 0 1 |
| 2.813 | 38 | 1 1 2 |
| 2.747 | 44 | 2 1 1 |
| 2.347 | 24 | 2 0 2 |
| 1.961 | 25 | 2 3 1 |
| 1.829 | 23 | 3 2 1 |

=====

[7]
For TbErMg5, a structure optimized by DFT (GGA-PBE) gives the computed X-ray powder pattern in this record (a wavelength of 1.5418 Å).

Structural model:
Unit cell a=6.338 b=9.726 c=6.558 alpha=90.00 beta=110.15 gamma=90.00
Space group C2/m (No. 12)
Symmetry-distinct sites (fractional):
Tb 0.000 0.000 0.000 (multiplicity 2)
Er 0.000 0.500 0.500 (multiplicity 2)
Mg 0.000 0.000 0.500 (multiplicity 2)
Mg 0.205 0.287 0.226 (multiplicity 8)

Largest 10 diffraction maxima, in order of rising 2θ, 2θ from 5° to 70°:
| d [Å] | I (rel.) | hkl |
| --- | --- | --- |
| 4.863 | 49 | 0 2 0 |
| 4.643 | 100 | 1 1 -1 |
| 3.450 | 67 | 1 1 1 |
| 2.763 | 49 | 1 3 -1 |
| 2.642 | 35 | 2 0 -2 |
| 2.601 | 60 | 0 2 2 |
| 2.538 | 53 | 2 2 0 |
| 2.433 | 36 | 0 4 0 |
| 2.133 | 18 | 1 1 -3 |
| 1.789 | 17 | 2 4 -2 |

=====

[8]
For Tb3YIr2, a structure optimized by DFT (GGA-PBE) gives the computed X-ray powder pattern in this record (a wavelength of 1.5418 Å).

Structural model:
Unit cell a=6.782 b=13.629 c=7.085 alpha=90.00 beta=90.00 gamma=90.00
Space group Ibam (No. 72)
Symmetry-distinct sites (fractional):
Tb 0.000 0.000 0.250 (multiplicity 4)
Tb 0.000 0.265 0.250 (multiplicity 8)
Y 0.000 0.500 0.000 (multiplicity 4)
Ir 0.213 0.138 0.000 (multiplicity 8)

Largest 10 diffraction maxima, in order of rising 2θ, 2θ from 5° to 70°:
| d [Å] | I (rel.) | hkl |
| --- | --- | --- |
| 3.978 | 89 | 1 2 1 |
| 2.583 | 38 | 1 3 2 |
| 2.453 | 100 | 2 0 2 |
| 2.404 | 68 | 2 4 0 |
| 2.305 | 14 | 2 2 2 |
| 2.120 | 17 | 1 2 3 |
| 2.060 | 14 | 1 6 1 |
| 1.771 | 16 | 0 0 4 |
| 1.426 | 26 | 2 4 4 |
| 1.362 | 15 | 3 7 2 |

=====

[9]
For KHo2Cl7, a structure optimized by DFT (GGA-PBE) gives the computed X-ray powder pattern in this record (a wavelength of 1.5418 Å).

Structural model:
Unit cell a=6.937 b=12.570 c=13.530 alpha=90.00 beta=92.05 gamma=90.00
Space group P2_1/c (No. 14)
Symmetry-distinct sites (fractional):
K 0.201 0.214 0.476 (multiplicity 4)
Ho 0.222 0.536 0.259 (multiplicity 4)
Ho 0.279 0.661 0.755 (multiplicity 4)
Cl 0.005 0.703 0.319 (multiplicity 4)
Cl 0.025 0.569 0.626 (multiplicity 4)
Cl 0.066 0.528 0.868 (multiplicity 4)
Cl 0.248 0.686 0.112 (multiplicity 4)
Cl 0.451 0.060 0.629 (multiplicity 4)
Cl 0.454 0.095 0.871 (multiplicity 4)
Cl 0.484 0.675 0.333 (multiplicity 4)

Largest 10 diffraction maxima, in order of rising 2θ, 2θ from 5° to 70°:
| d [Å] | I (rel.) | hkl |
| --- | --- | --- |
| 6.761 | 100 | 0 0 2 |
| 6.070 | 40 | 1 1 0 |
| 4.591 | 41 | 1 1 -2 |
| 4.448 | 29 | 1 1 2 |
| 3.482 | 21 | 1 3 -1 |
| 3.450 | 28 | 1 3 1 |
| 2.832 | 21 | 1 3 -3 |
| 2.781 | 21 | 1 3 3 |
| 2.578 | 24 | 0 4 3 |
| 2.049 | 19 | 0 4 5 |

=====

[10]
For ThPaSN2, a structure optimized by DFT (GGA-PBE) gives the computed X-ray powder pattern in this record (a wavelength of 1.5418 Å).

Structural model:
Unit cell a=3.886 b=3.886 c=12.232 alpha=90.00 beta=90.00 gamma=90.00
Space group I4mm (No. 107)
Symmetry-distinct sites (fractional):
Th 0.000 0.000 0.000 (multiplicity 2)
Pa 0.000 0.000 0.299 (multiplicity 2)
S 0.000 0.000 0.647 (multiplicity 2)
N 0.000 0.500 0.393 (multiplicity 4)

Largest 10 diffraction maxima, in order of rising 2θ, 2θ from 5° to 70°:
| d [Å] | I (rel.) | hkl |
| --- | --- | --- |
| 6.116 | 13 | 0 0 2 |
| 3.704 | 50 | 1 0 1 |
| 3.058 | 13 | 0 0 4 |
| 2.813 | 100 | 1 0 3 |
| 2.748 | 46 | 1 1 0 |
| 2.044 | 25 | 1 1 4 |
| 1.943 | 21 | 2 0 0 |
| 1.637 | 17 | 1 1 6 |
| 1.599 | 38 | 2 1 3 |
| 1.594 | 14 | 1 0 7 |

=====

[11]
For TaInSi, a structure optimized by DFT (GGA-PBE) gives the computed X-ray powder pattern in this record (a wavelength of 1.5418 Å).

Structural model:
Unit cell a=2.857 b=19.389 c=4.333 alpha=90.00 beta=90.00 gamma=90.00
Space group Cmcm (No. 63)
Symmetry-distinct sites (fractional):
Ta 0.000 0.195 0.250 (multiplicity 4)
In 0.000 0.447 0.750 (multiplicity 4)
Si 0.000 0.331 0.250 (multiplicity 4)

Largest 10 diffraction maxima, in order of rising 2θ, 2θ from 5° to 70°:
| d [Å] | I (rel.) | hkl |
| --- | --- | --- |
| 9.695 | 53 | 0 2 0 |
| 3.956 | 100 | 0 2 1 |
| 2.613 | 46 | 1 3 0 |
| 2.590 | 87 | 0 6 1 |
| 2.424 | 44 | 0 8 0 |
| 2.367 | 48 | 1 1 1 |
| 2.237 | 62 | 1 3 1 |
| 2.167 | 40 | 0 0 2 |
| 2.031 | 36 | 1 5 1 |
| 1.615 | 28 | 0 8 2 |

=====

[12]
For Ho2Er5Bi5, a structure optimized by DFT (GGA-PBE) gives the computed X-ray powder pattern in this record (a wavelength of 1.5418 Å).

Structural model:
Unit cell a=14.556 b=4.407 c=12.612 alpha=90.00 beta=112.61 gamma=90.00
Space group C2/m (No. 12)
Symmetry-distinct sites (fractional):
Ho 0.050 0.000 0.286 (multiplicity 4)
Er 0.000 0.500 0.000 (multiplicity 2)
Er 0.164 0.500 0.528 (multiplicity 4)
Er 0.202 0.500 0.828 (multiplicity 4)
Bi 0.000 0.000 0.500 (multiplicity 2)
Bi 0.122 0.000 0.943 (multiplicity 4)
Bi 0.198 0.500 0.280 (multiplicity 4)

Largest 10 diffraction maxima, in order of rising 2θ, 2θ from 5° to 70°:
| d [Å] | I (rel.) | hkl |
| --- | --- | --- |
| 3.744 | 29 | 2 0 2 |
| 3.262 | 24 | 3 1 -1 |
| 3.142 | 84 | 3 1 -2 |
| 2.911 | 42 | 2 0 3 |
| 2.846 | 100 | 3 1 -3 |
| 2.294 | 23 | 5 1 0 |
| 2.239 | 31 | 6 0 -4 |
| 2.204 | 37 | 0 2 0 |
| 1.757 | 22 | 2 2 3 |
| 1.570 | 26 | 6 2 -4 |